1.
This entry pairs a crystal structure of LiAl6Pd with its computed powder XRD pattern. Radiation: Cu Kα X-rays. Structure: a structure optimized by DFT (PBE).
No peak broadening, texture or thermal motion is included.

Main lines, by angle (2θ from 10° to 80°):
d (Å)	2theta	I/Imax	hkl
5.054	17.55	81	0 0 1
5.008	17.71	55	1 1 0
3.679	24.19	86	1 1 -1
3.447	25.85	58	1 1 1
2.504	35.86	50	2 2 0
2.421	37.13	33	1 3 0
2.317	38.86	33	1 1 -2
2.211	40.81	100	1 3 -1
2.199	41.04	56	1 1 2
2.188	41.26	78	2 2 1
2.094	43.21	58	3 1 0
2.084	43.42	38	2 0 -2

Cell and atoms:
Cell lengths 6.5419, 7.8240, 5.0718 Å; angles 90.00, 94.85, 90.00 degrees
Space group C2/m (No. 12)
One atom of each set of equivalent atoms:
1 Li 0.0000 0.0000 0.0000 (multiplicity 2)
2 Al 0.1507 0.5000 0.2177 (multiplicity 4)
3 Al 0.1797 0.3120 0.7293 (multiplicity 8)
4 Pd 0.0000 0.0000 0.5000 (multiplicity 2)

---

2.
This entry pairs a crystal structure of NpAl4Au12 with its computed powder XRD pattern. Radiation: Cu Kα X-rays. Structure: a structure optimized by DFT (PBE).
No peak broadening, texture or thermal motion is included.

Main lines, by angle (2θ from 10° to 80°):
d (Å)	2theta	I/Imax	hkl
2.822	31.70	100	3 1 0
2.385	37.71	45	3 2 1
1.996	45.45	5	4 0 2
1.903	47.80	5	3 3 2
1.822	50.07	12	4 2 2
1.750	52.27	31	4 1 3
1.531	60.49	12	5 0 3
1.487	62.43	18	6 0 0
1.448	64.35	4	5 3 2
1.316	71.73	18	6 3 1
1.288	73.52	3	4 4 4
1.262	75.30	6	5 3 4

Cell and atoms:
Cell lengths 8.9247, 8.9247, 8.9247 Å; angles 90.00, 90.00, 90.00 degrees
Space group Im-3 (No. 204)
One atom of each set of equivalent atoms:
1 Np 0.0000 0.0000 0.0000 (multiplicity 2)
2 Al 0.2500 0.2500 0.2500 (multiplicity 8)
3 Au 0.0000 0.1562 0.3416 (multiplicity 24)